Computed powder diffraction line list
Compound: Cs4FeO3
Radiation: Cu Kα, 1.54184 Å
Structure: a cell relaxed with PBE+U

Largest 12 diffraction maxima, sorted by position, 10 to 80 degrees two-theta:
24.0 deg, rel. 16.2, hkl 1 -1 1
25.1 deg, rel. 16.3, hkl 1 2 0
26.3 deg, rel. 18.7, hkl 1 0 -2
27.1 deg, rel. 48.5, hkl 1 1 -2
27.5 deg, rel. 40.1, hkl 0 2 0
27.6 deg, rel. 100.0, hkl 1 1 3
29.1 deg, rel. 42.7, hkl 2 2 1
32.3 deg, rel. 24.7, hkl -1 1 2
32.9 deg, rel. 12.0, hkl 0 2 2
33.9 deg, rel. 37.5, hkl 1 -1 3
45.7 deg, rel. 12.0, hkl 3 1 4
50.7 deg, rel. 15.0, hkl 3 -1 2

Atomic structure:
a b c (Å): 7.210 7.232 10.142
angles (deg): 80.56 71.63 63.75
Space group P-1 (No. 2)
One atom of each set of equivalent atoms:
Cs 0.025 0.246 0.403 [2 per cell]
Cs 0.207 0.208 0.011 [2 per cell]
Cs 0.271 0.647 0.150 [2 per cell]
Cs 0.431 0.214 0.622 [2 per cell]
Fe 0.313 0.798 0.764 [2 per cell]
O 0.129 0.023 0.668 [2 per cell]
O 0.267 0.552 0.827 [2 per cell]
O 0.448 0.176 0.208 [2 per cell]